Entry 1:
For Mn4O7F, a GGA+U-relaxed structure gives the calculated powder X-ray diffraction pattern in this record (λ = 1.5418 Å (Cu Kα)).
Kinematic intensities with the Lorentz-polarization factor, no thermal factor.

Largest 10 diffraction maxima, by angle, 2θ = 10–90°:
| 2θ/deg | I (rel.) | h k l |
| --- | --- | --- |
| 25.36 | 63 | 2 0 0 |
| 26.08 | 56 | 2 0 -2 |
| 31.20 | 98 | 2 2 0 |
| 31.80 | 100 | 2 2 -2 |
| 36.21 | 24 | 0 4 0 |
| 37.43 | 46 | 0 2 2 |
| 55.39 | 48 | 4 4 -2 |
| 55.52 | 41 | 4 2 0 |
| 57.01 | 40 | 4 2 -4 |
| 65.93 | 33 | 0 6 2 |

Structural model:
```
data_Mn4O7F
_chemical_formula_sum 'Mn16 O28 F4'
_space_group_name_H-M_alt 'C 1 c 1'
_space_group_IT_number 9
_cell_length_a 8.9267
_cell_length_b 9.9240
_cell_length_c 6.9817
_cell_angle_alpha 90.00
_cell_angle_beta 128.12
_cell_angle_gamma 90.00
loop_
_space_group_symop_operation_xyz
'x,y,z'
'x,-y,z+1/2'
'x+1/2,y+1/2,z'
'x+1/2,-y+1/2,z+1/2'
loop_
_atom_site_label
_atom_site_fract_x
_atom_site_fract_y
_atom_site_fract_z
Mn1 0.0000 0.0024 0.0000
Mn2 0.0229 0.4958 0.0244
Mn3 0.1544 0.2559 0.8087
Mn4 0.1558 0.2466 0.3060
O1 0.0222 0.4147 0.7718
O2 0.0316 0.0818 0.2780
O3 0.1477 0.1637 0.0497
O4 0.1506 0.3377 0.5554
O5 0.2532 0.4096 0.2719
O6 0.4146 0.3349 0.0497
O7 0.4157 0.1645 0.5550
F1 0.2677 0.0888 0.7838
```

Entry 2:
For Eu2FeSnO6, a GGA+U-relaxed structure gives the calculated powder X-ray diffraction pattern in this record (λ = 1.5418 Å (Cu Kα)).
Kinematic intensities with the Lorentz-polarization factor, no thermal factor.

Largest 10 diffraction maxima, by angle, 2θ = 10–90°:
| 2θ/deg | I (rel.) | h k l |
| --- | --- | --- |
| 19.16 | 4 | 1 1 1 |
| 22.16 | 4 | 2 0 0 |
| 31.55 | 100 | 2 2 0 |
| 38.89 | 9 | 2 2 2 |
| 45.22 | 30 | 4 0 0 |
| 56.18 | 40 | 4 2 2 |
| 65.87 | 18 | 4 4 0 |
| 74.87 | 18 | 6 2 0 |
| 79.21 | 3 | 6 2 2 |
| 83.50 | 6 | 4 4 4 |

Structural model:
```
data_Eu2FeSnO6
_chemical_formula_sum 'Eu8 Fe4 Sn4 O24'
_space_group_name_H-M_alt 'F m -3 m'
_space_group_IT_number 225
_space_group_name_Hall '-F 4 2 3'
_cell_length_a 8.0213
_cell_length_b 8.0213
_cell_length_c 8.0213
_cell_angle_alpha 90.00
_cell_angle_beta 90.00
_cell_angle_gamma 90.00
loop_
_atom_site_label
_atom_site_fract_x
_atom_site_fract_y
_atom_site_fract_z
Eu1 0.2500 0.2500 0.2500
Fe1 0.0000 0.0000 0.0000
Sn1 0.0000 0.0000 0.5000
O1 0.0000 0.0000 0.2461
```

Entry 3:
For Li3MnFe2B3O9, a GGA+U-relaxed structure gives the calculated powder X-ray diffraction pattern in this record (λ = 1.5418 Å (Cu Kα)).
Kinematic intensities with the Lorentz-polarization factor, no thermal factor.

Largest 10 diffraction maxima, by angle, 2θ = 10–90°:
| 2θ/deg | I (rel.) | h k l |
| --- | --- | --- |
| 21.52 | 100 | 2 0 0 |
| 31.06 | 16 | 1 1 1 |
| 33.14 | 15 | 1 0 5 |
| 35.89 | 78 | 2 1 0 |
| 37.73 | 32 | 3 0 3 |
| 43.85 | 15 | 4 0 0 |
| 47.88 | 28 | 3 1 -3 |
| 53.06 | 25 | 2 1 -6 |
| 54.70 | 17 | 3 1 5 |
| 58.71 | 11 | 0 2 0 |

Structural model:
```
data_Li3MnFe2B3O9
_chemical_formula_sum 'Li6 Mn2 Fe4 B6 O18'
_space_group_name_H-M_alt 'P 1 m 1'
_space_group_IT_number 6
_cell_length_a 8.2518
_cell_length_b 3.1454
_cell_length_c 14.3175
_cell_angle_alpha 90.00
_cell_angle_beta 90.02
_cell_angle_gamma 90.00
loop_
_space_group_symop_operation_xyz
'x,y,z'
'x,-y,z'
loop_
_atom_site_label
_atom_site_fract_x
_atom_site_fract_y
_atom_site_fract_z
Li1 0.0000 0.0000 0.0000
Li2 0.0257 0.0000 0.7053
Li3 0.0741 0.0000 0.3391
Li4 0.5015 0.0000 0.4980
Li5 0.5272 0.0000 0.2060
Li6 0.5729 0.0000 0.8411
Mn1 0.2320 0.5000 0.8541
Mn2 0.6928 0.5000 0.6624
Fe1 0.1794 0.5000 0.5274
Fe2 0.1912 0.5000 0.1645
Fe3 0.6803 0.5000 0.0275
Fe4 0.7311 0.5000 0.3518
B1 0.3658 0.0000 0.6799
B2 0.3678 0.0000 0.0167
B3 0.3675 0.5000 0.3479
B4 0.8649 0.5000 0.8481
B5 0.8669 0.0000 0.1816
B6 0.8691 0.0000 0.5132
O1 0.0020 0.5000 0.7915
O2 0.0191 0.0000 0.1394
O3 0.0233 0.0000 0.4737
O4 0.2156 0.5000 0.3055
O5 0.2248 0.0000 0.6265
O6 0.2297 0.0000 0.9598
O7 0.3495 0.0000 0.1134
O8 0.3561 0.0000 0.7771
O9 0.3797 0.5000 0.4448
O10 0.5071 0.5000 0.2933
O11 0.5157 0.0000 0.6366
O12 0.5209 0.0000 0.9765
O13 0.7114 0.5000 0.8087
O14 0.7277 0.0000 0.1268
O15 0.7317 0.0000 0.4566
O16 0.8528 0.0000 0.6103
O17 0.8548 0.0000 0.2785
O18 0.8815 0.5000 0.9456
```

What is the formula in the third record? Li3MnFe2B3O9